# 1
The following is a theoretical powder XRD pattern of Pr2SmIn4. It was derived from a crystal structure in Alexandria, relaxed with GGA-PBE, using Cu Ka.

The 8 most intense peaks (2θ from 15° to 90°), by angle:
index  2θ (°)  d (Å)  I/Imax
2 -1 0  30.03  2.976  28
1 -2 2  30.62  2.919  55
2 1 -1  31.17  2.869  100
0 1 2  31.34  2.855  56
0 1 -3  32.01  2.796  47
1 -3 0  35.25  2.546  44
2 0 -3  37.19  2.418  31
1 3 -3  37.65  2.389  34

Structural model:
```
data_Pr2SmIn4
_space_group_name_H-M_alt 'P 1'
_space_group_IT_number 1
_cell_length_a 6.359
_cell_length_b 8.614
_cell_length_c 8.986
_cell_angle_alpha 115.34
_cell_angle_beta 108.81
_cell_angle_gamma 93.86
loop_
_space_group_symop_operation_xyz
'x,y,z'
loop_
_atom_site_label
_atom_site_type_symbol
_atom_site_fract_x
_atom_site_fract_y
_atom_site_fract_z
Pr1 Pr 0.000 0.000 0.000
Pr2 Pr 0.049 0.023 0.537
Pr3 Pr 0.221 0.481 0.367
Pr4 Pr 0.901 0.560 0.705
Sm1 Sm 0.460 0.804 0.150
Sm2 Sm 0.652 0.252 0.922
In1 In 0.182 0.366 0.961
In2 In 0.350 0.850 0.789
In3 In 0.419 0.490 0.763
In4 In 0.471 0.174 0.469
In5 In 0.599 0.882 0.578
In6 In 0.699 0.565 0.313
In7 In 0.775 0.207 0.294
In8 In 0.937 0.682 0.116
```

# 2
The following is a theoretical powder XRD pattern of KTlZnO3. It was derived from a crystal structure in Alexandria, relaxed with GGA-PBE, using Cu Ka.

The 8 most intense peaks (2θ from 15° to 90°), by angle:
index  2θ (°)  d (Å)  I/Imax
2 0 -2  28.98  3.082  100
1 1 1  31.57  2.834  97
0 1 2  32.84  2.727  82
1 0 3  33.57  2.670  50
2 1 0  36.75  2.445  100
1 0 -4  38.87  2.317  35
1 1 -3  40.04  2.252  58
3 1 -1  46.55  1.951  34

Structural model:
```
data_KTlZnO3
_space_group_name_H-M_alt 'P 1 21/m 1'
_space_group_IT_number 11
_cell_length_a 7.201
_cell_length_b 3.375
_cell_length_c 9.395
_cell_angle_alpha 90.00
_cell_angle_beta 99.74
_cell_angle_gamma 90.00
loop_
_space_group_symop_operation_xyz
'x,y,z'
'-x,-y,-z'
'-x,y+1/2,-z'
'x,-y+1/2,z'
loop_
_atom_site_label
_atom_site_type_symbol
_atom_site_fract_x
_atom_site_fract_y
_atom_site_fract_z
K1 K 0.201 0.250 0.256
Tl1 Tl 0.350 0.750 0.874
Zn1 Zn 0.129 0.250 0.583
O1 O 0.150 0.250 0.800
O2 O 0.173 0.750 0.489
O3 O 0.427 0.750 0.121
```